Diffraction record for K3TcH7. The X-ray diffraction stick pattern is computed, not measured: it uses DFT lattice parameters and positions (PBE) and a wavelength of 1.5418 Å.
Peak positions follow from Bragg's law for the DFT cell and can differ from measured ones.

Structural model:
Cell: 8.4583 8.8590 8.2751 Å, 90.00 90.00 90.00°
Space group Fmm2 (No. 42)
Inequivalent atoms, fractional coordinates:
K1 0.0000 0.0000 0.0000 x4
K2 0.2500 0.2500 0.2632 x8
Tc1 0.0000 0.0000 0.5182 x4
H1 0.0000 0.0000 0.3078 x4
H2 0.0000 0.2027 0.5178 x8
H3 0.1145 0.0000 0.6880 x8
H4 0.1966 0.0000 0.4607 x8

Main lines, by intensity (2θ from 10° to 90°):
index	d (Å)	Position (°2θ)	I_rel
2 2 0	3.059	29.2	100
0 2 2	3.024	29.5	96
2 0 2	2.958	30.2	93
1 1 1	4.919	18.0	54
2 4 2	1.773	51.6	37
4 2 2	1.733	52.8	34
2 2 4	1.714	53.5	32
0 4 0	2.215	40.7	21
4 0 0	2.115	42.8	17
0 0 4	2.069	43.8	16
0 2 0	4.429	20.0	11
4 4 0	1.529	60.5	11